1.
U2Nb3Ge4: calculated powder diffractogram (λ = 1.5418 Å (Cu Kα)), based on a DFT-relaxed cell (PBE, the Materials Project).
Neutral-atom scattering factors, no anomalous dispersion.

```
U2Nb3Ge4
1.0
7.0210 0.0000 0.0000
0.0000 13.5350 0.0000
0.0000 0.0000 7.2071
U Nb Ge
8 12 16
Cartesian
0.0477 1.2292 1.2234 U
0.0477 5.5383 1.2234 U
3.4628 7.9967 4.8270 U
3.4628 12.3058 4.8270 U
3.5582 1.2292 2.3802 U
3.5582 5.5383 2.3802 U
6.9733 7.9967 5.9837 U
6.9733 12.3058 5.9837 U
1.1278 8.4621 2.3986 Nb
1.1278 11.8404 2.3986 Nb
1.1810 3.3838 3.6358 Nb
2.3295 10.1513 0.0322 Nb
2.3827 1.6946 6.0021 Nb
2.3827 5.0729 6.0021 Nb
4.6383 8.4621 1.2050 Nb
4.6383 11.8404 1.2050 Nb
4.6915 3.3838 7.1749 Nb
5.8400 10.1513 3.5713 Nb
5.8932 1.6946 4.8086 Nb
5.8932 5.0729 4.8086 Nb
0.2768 3.3838 6.3099 Ge
1.2156 0.5840 3.9123 Ge
1.2156 6.1835 3.9123 Ge
1.3473 10.1513 4.6147 Ge
2.1632 3.3838 1.0111 Ge
2.2949 7.3515 0.3087 Ge
2.2949 12.9510 0.3087 Ge
3.2337 10.1513 2.7063 Ge
3.7873 3.3838 4.5008 Ge
4.7261 0.5840 6.8984 Ge
4.7261 6.1835 6.8984 Ge
4.8578 10.1513 6.1960 Ge
5.6737 3.3838 2.5925 Ge
5.8054 7.3515 3.2949 Ge
5.8054 12.9510 3.2949 Ge
6.7442 10.1513 0.8973 Ge
```

Largest 8 diffraction maxima, in order of falling intensity, 5° ≤ 2θ ≤ 70°:
2θ = 34.31°, I 100.0
2θ = 34.69°, I 91.5
2θ = 40.53°, I 39.8
2θ = 36.40°, I 28.8
2θ = 39.97°, I 24.6
2θ = 39.65°, I 23.9
2θ = 23.26°, I 23.9
2θ = 28.62°, I 22.4


2.
Y2Nb3Ge4: calculated powder diffractogram (λ = 1.5418 Å (Cu Kα)), based on a DFT-relaxed cell (PBE, the Materials Project).
Neutral-atom scattering factors, no anomalous dispersion.

```
Y2Nb3Ge4
1.0
7.0285 0.0000 0.0000
0.0000 13.6262 0.0000
0.0000 0.0000 7.2021
Y Nb Ge
8 12 16
Cartesian
0.0204 1.2925 1.2510 Y
0.0204 5.5206 1.2510 Y
3.4938 8.1056 4.8520 Y
3.4938 12.3337 4.8520 Y
3.5346 1.2925 2.3501 Y
3.5346 5.5206 2.3501 Y
7.0081 8.1056 5.9511 Y
7.0081 12.3337 5.9511 Y
1.1238 8.5371 2.3670 Nb
1.1238 11.9022 2.3670 Nb
1.1553 3.4065 3.6907 Nb
2.3589 10.2196 0.0896 Nb
2.3905 1.7240 5.9680 Nb
2.3905 5.0891 5.9680 Nb
4.6380 8.5371 1.2341 Nb
4.6380 11.9022 1.2341 Nb
4.6696 3.4065 7.1124 Nb
5.8731 10.2196 3.5114 Nb
5.9047 1.7240 4.8351 Nb
5.9047 5.0891 4.8351 Nb
0.2822 3.4065 6.3191 Ge
1.2214 0.5682 3.8815 Ge
1.2214 6.2449 3.8815 Ge
1.3727 10.2196 4.5879 Ge
2.1415 3.4065 0.9869 Ge
2.2929 7.3813 0.2805 Ge
2.2929 13.0580 0.2805 Ge
3.2320 10.2196 2.7180 Ge
3.7964 3.4065 4.4840 Ge
4.7356 0.5682 6.9216 Ge
4.7356 6.2449 6.9216 Ge
4.8869 10.2196 6.2152 Ge
5.6558 3.4065 2.6141 Ge
5.8071 7.3813 3.3205 Ge
5.8071 13.0580 3.3205 Ge
6.7463 10.2196 0.8830 Ge
```

Largest 8 diffraction maxima, in order of falling intensity, 5° ≤ 2θ ≤ 70°:
2θ = 34.24°, I 100.0
2θ = 34.59°, I 91.3
2θ = 40.49°, I 76.1
2θ = 36.31°, I 75.7
2θ = 40.24°, I 55.0
2θ = 38.88°, I 40.0
2θ = 39.68°, I 40.0
2θ = 38.57°, I 37.1


3.
Nd3Ge5: calculated powder diffractogram (λ = 1.5418 Å (Cu Kα)), based on a DFT-relaxed cell (PBE, the Materials Project).
Neutral-atom scattering factors, no anomalous dispersion.

```
Nd3Ge5
1.0
0.0000 8.9432 7.0865
2.9846 0.0000 7.0865
2.9846 8.9432 0.0000
Nd Ge
6 10
Cartesian
0.0000 0.0000 0.0000 Nd
1.4923 4.4716 3.5433 Nd
2.9493 5.9220 7.1812 Nd
4.5121 10.3936 10.7245 Nd
3.0198 11.9645 7.1812 Nd
4.4416 16.4361 10.7245 Nd
3.2291 3.2047 5.7873 Ge
4.4111 10.4962 4.7837 Ge
2.9189 2.9187 8.3269 Ge
4.2322 7.6763 9.3305 Ge
2.9846 8.9432 6.3389 Ge
1.5580 7.3903 4.7837 Ge
4.4768 13.4149 9.8822 Ge
2.7400 14.6818 5.7873 Ge
3.0502 14.9678 8.3269 Ge
1.7369 10.2102 9.3305 Ge
```

Largest 8 diffraction maxima, in order of falling intensity, 5° ≤ 2θ ≤ 70°:
2θ = 32.57°, I 100.0
2θ = 38.25°, I 44.2
2θ = 42.88°, I 37.1
2θ = 28.36°, I 37.0
2θ = 49.97°, I 20.1
2θ = 67.91°, I 14.9
2θ = 58.82°, I 11.4
2θ = 58.78°, I 11.3


4.
NdGe3: calculated powder diffractogram (λ = 1.5418 Å (Cu Kα)), based on a DFT-relaxed cell (PBE, the Materials Project).
Neutral-atom scattering factors, no anomalous dispersion.

```
NdGe3
1.0
4.3997 0.0000 0.0000
0.0000 4.3997 0.0000
0.0000 0.0000 4.3997
Nd Ge
1 3
Cartesian
0.0000 0.0000 0.0000 Nd
0.0000 2.1998 2.1998 Ge
2.1998 0.0000 2.1998 Ge
2.1998 2.1998 0.0000 Ge
```

Largest 8 diffraction maxima, in order of falling intensity, 5° ≤ 2θ ≤ 70°:
2θ = 35.34°, I 100.0
2θ = 41.03°, I 49.4
2θ = 59.42°, I 32.7
2θ = 20.18°, I 10.5
2θ = 28.69°, I 8.9
2θ = 46.13°, I 5.0
2θ = 50.83°, I 3.8
2θ = 63.43°, I 2.4


5.
NdGe5: calculated powder diffractogram (λ = 1.5418 Å (Cu Kα)), based on a DFT-relaxed cell (PBE, the Materials Project).
Neutral-atom scattering factors, no anomalous dispersion.

```
NdGe5
1.0
4.0370 0.0000 0.0000
0.0000 6.2569 0.0000
0.0000 0.0000 9.9962
Nd Ge
2 10
Cartesian
0.0000 0.0000 0.0000 Nd
2.0185 3.1284 4.9981 Nd
0.0000 1.2889 3.2911 Ge
0.0000 1.2889 6.7051 Ge
0.0000 3.1284 0.0000 Ge
0.0000 4.9680 3.2911 Ge
0.0000 4.9680 6.7051 Ge
2.0185 0.0000 4.9981 Ge
2.0185 1.8396 1.7070 Ge
2.0185 1.8396 8.2892 Ge
2.0185 4.4173 1.7070 Ge
2.0185 4.4173 8.2892 Ge
```

Largest 8 diffraction maxima, in order of falling intensity, 5° ≤ 2θ ≤ 70°:
2θ = 34.91°, I 100.0
2θ = 37.47°, I 71.2
2θ = 33.80°, I 52.0
2θ = 44.91°, I 24.6
2θ = 57.37°, I 22.4
2θ = 59.45°, I 21.9
2θ = 26.27°, I 17.7
2θ = 55.14°, I 17.6


6.
Nd4Ge7: calculated powder diffractogram (λ = 1.5418 Å (Cu Kα)), based on a DFT-relaxed cell (PBE, the Materials Project).
Neutral-atom scattering factors, no anomalous dispersion.

```
Nd4Ge7
1.0
3.0242 -7.0241 0.0000
3.0242 7.0241 0.0000
0.0000 0.0000 12.0933
Nd Ge
8 14
Cartesian
3.0242 6.9555 9.0700 Nd
1.5928 3.4449 1.4473 Nd
2.9373 0.0000 6.0466 Nd
4.4557 3.4449 4.5993 Nd
1.5928 -3.4449 10.6460 Nd
3.1112 0.0000 0.0000 Nd
4.4557 -3.4449 7.4939 Nd
3.0242 -6.9555 3.0233 Nd
2.9146 5.7813 5.9218 Ge
1.5336 2.4252 4.4901 Ge
3.1339 5.7813 0.1249 Ge
1.9790 2.0675 10.1232 Ge
1.5336 -2.4252 7.6032 Ge
3.0242 0.8574 3.0233 Ge
1.9790 -2.0675 1.9701 Ge
4.0695 2.0675 8.0167 Ge
3.0242 -0.8574 9.0700 Ge
4.5149 2.4252 1.5565 Ge
4.0695 -2.0675 4.0766 Ge
2.9146 -5.7813 6.1715 Ge
4.5149 -2.4252 10.5367 Ge
3.1339 -5.7813 11.9684 Ge
```

Largest 8 diffraction maxima, in order of falling intensity, 5° ≤ 2θ ≤ 70°:
2θ = 32.23°, I 100.0
2θ = 38.33°, I 46.0
2θ = 28.26°, I 41.6
2θ = 42.26°, I 37.8
2θ = 58.37°, I 20.5
2θ = 50.22°, I 17.2
2θ = 67.67°, I 16.4
2θ = 51.63°, I 9.5


7.
Nd4Ge13: calculated powder diffractogram (λ = 1.5418 Å (Cu Kα)), based on a DFT-relaxed cell (PBE, the Materials Project).
Neutral-atom scattering factors, no anomalous dispersion.

```
Nd4Ge13
1.0
4.0145 0.0000 0.0000
0.0000 4.1483 0.0000
0.0000 0.0000 22.3918
Nd Ge
4 13
Cartesian
0.0000 0.0000 0.0000 Nd
0.0000 0.0000 7.1675 Nd
2.0072 0.0000 10.9897 Nd
2.0072 0.0000 18.7560 Nd
0.0000 0.0000 13.8441 Ge
0.0000 0.0000 16.4006 Ge
0.0000 2.0742 2.3666 Ge
0.0000 2.0742 4.8772 Ge
0.0000 2.0742 9.6375 Ge
0.0000 2.0742 12.2413 Ge
0.0000 2.0742 19.7232 Ge
2.0072 0.0000 2.3608 Ge
2.0072 0.0000 4.8540 Ge
2.0072 2.0742 8.0909 Ge
2.0072 2.0742 13.9563 Ge
2.0072 2.0742 16.4929 Ge
2.0072 2.0742 21.3232 Ge
```

Largest 8 diffraction maxima, in order of falling intensity, 5° ≤ 2θ ≤ 70°:
2θ = 33.30°, I 100.0
2θ = 43.64°, I 24.2
2θ = 45.17°, I 23.0
2θ = 37.07°, I 21.3
2θ = 32.27°, I 19.2
2θ = 31.98°, I 15.4
2θ = 64.62°, I 14.8
2θ = 42.76°, I 13.4


8.
Nd2NiGe6: calculated powder diffractogram (λ = 1.5418 Å (Cu Kα)), based on a DFT-relaxed cell (PBE, the Materials Project).
Neutral-atom scattering factors, no anomalous dispersion.

```
Nd2NiGe6
1.0
4.1259 0.0000 0.0000
0.0000 2.0376 10.9460
0.0000 -2.0376 10.9460
Nd Ni Ge
2 1 6
Cartesian
0.0000 0.0000 0.0000 Nd
0.0000 0.0000 7.3230 Nd
2.0630 0.0000 16.9648 Ni
0.0000 0.0000 13.3010 Ge
0.0000 0.0000 15.7893 Ge
2.0630 0.0000 2.3233 Ge
2.0630 0.0000 4.8265 Ge
2.0630 0.0000 9.9118 Ge
2.0630 0.0000 19.3078 Ge
```

Largest 8 diffraction maxima, in order of falling intensity, 5° ≤ 2θ ≤ 70°:
2θ = 33.25°, I 100.0
2θ = 32.75°, I 37.8
2θ = 43.89°, I 24.0
2θ = 44.46°, I 23.1
2θ = 37.19°, I 19.5
2θ = 43.32°, I 18.3
2θ = 56.31°, I 15.9
2θ = 64.25°, I 15.1


9.
NdNiGe: calculated powder diffractogram (λ = 1.5418 Å (Cu Kα)), based on a DFT-relaxed cell (PBE, the Materials Project).
Neutral-atom scattering factors, no anomalous dispersion.

```
NdNiGe
1.0
7.2958 0.0000 0.0000
0.0000 4.4002 0.0000
0.0000 0.0000 7.2334
Nd Ni Ge
4 4 4
Cartesian
0.1366 1.1001 1.4232 Nd
3.5113 3.3002 5.0399 Nd
3.7845 1.1001 2.1935 Nd
7.1591 3.3002 5.8102 Nd
1.2651 3.3002 3.0390 Ni
2.3828 1.1001 6.6557 Ni
4.9130 3.3002 0.5778 Ni
6.0307 1.1001 4.1945 Ni
1.3803 1.1001 4.3003 Ge
2.2676 3.3002 0.6836 Ge
5.0282 1.1001 6.5499 Ge
5.9155 3.3002 2.9331 Ge
```

Largest 8 diffraction maxima, in order of falling intensity, 5° ≤ 2θ ≤ 70°:
2θ = 34.25°, I 100.0
2θ = 34.37°, I 59.7
2θ = 42.76°, I 38.3
2θ = 41.02°, I 37.5
2θ = 34.93°, I 32.8
2θ = 39.08°, I 26.5
2θ = 68.03°, I 25.0
2θ = 54.95°, I 17.7


10.
NdNiGe3: calculated powder diffractogram (λ = 1.5418 Å (Cu Kα)), based on a DFT-relaxed cell (PBE, the Materials Project).
Neutral-atom scattering factors, no anomalous dispersion.

```
NdNiGe3
1.0
2.0725 -10.9550 0.0000
2.0725 10.9550 0.0000
0.0000 0.0000 4.1700
Nd Ni Ge
2 2 6
Cartesian
2.0725 7.2634 0.0000 Nd
2.0725 -7.2634 0.0000 Nd
2.0725 2.3944 2.0850 Ni
2.0725 -2.3944 2.0850 Ni
2.0725 9.7139 2.0850 Ge
2.0725 4.7336 2.0850 Ge
2.0725 1.2424 0.0000 Ge
2.0725 -1.2424 0.0000 Ge
2.0725 -4.7336 2.0850 Ge
2.0725 -9.7139 2.0850 Ge
```

Largest 8 diffraction maxima, in order of falling intensity, 5° ≤ 2θ ≤ 70°:
2θ = 32.84°, I 100.0
2θ = 43.40°, I 25.5
2θ = 43.68°, I 25.0
2θ = 32.59°, I 24.3
2θ = 43.09°, I 21.4
2θ = 63.27°, I 16.2
2θ = 55.57°, I 15.3
2θ = 62.82°, I 13.6


11.
NdNiGe2: calculated powder diffractogram (λ = 1.5418 Å (Cu Kα)), based on a DFT-relaxed cell (PBE, the Materials Project).
Neutral-atom scattering factors, no anomalous dispersion.

```
NdNiGe2
1.0
4.2352 0.0000 0.0000
0.0000 16.7897 0.0000
0.0000 0.0000 4.2526
Nd Ni Ge
4 4 8
Cartesian
0.0000 1.8236 1.0631 Nd
0.0000 14.9662 3.1894 Nd
2.1176 6.5713 3.1894 Nd
2.1176 10.2184 1.0631 Nd
0.0000 5.3535 1.0631 Ni
0.0000 11.4362 3.1894 Ni
2.1176 3.0414 3.1894 Ni
2.1176 13.7484 1.0631 Ni
0.0000 4.2105 3.1894 Ge
0.0000 7.6879 1.0631 Ge
0.0000 9.1018 3.1894 Ge
0.0000 12.5792 1.0631 Ge
2.1176 0.7069 3.1894 Ge
2.1176 4.1844 1.0631 Ge
2.1176 12.6054 3.1894 Ge
2.1176 16.0828 1.0631 Ge
```

Largest 8 diffraction maxima, in order of falling intensity, 5° ≤ 2θ ≤ 70°:
2θ = 33.90°, I 100.0
2θ = 34.07°, I 39.2
2θ = 38.51°, I 30.9
2θ = 42.52°, I 30.0
2θ = 42.70°, I 29.6
2θ = 30.26°, I 21.1
2θ = 61.83°, I 19.3
2θ = 55.57°, I 18.9


Repeat the eighth record exactly.
Nd2NiGe6: calculated powder diffractogram (λ = 1.5418 Å (Cu Kα)), based on a DFT-relaxed cell (PBE, the Materials Project).
Neutral-atom scattering factors, no anomalous dispersion.

```
Nd2NiGe6
1.0
4.1259 0.0000 0.0000
0.0000 2.0376 10.9460
0.0000 -2.0376 10.9460
Nd Ni Ge
2 1 6
Cartesian
0.0000 0.0000 0.0000 Nd
0.0000 0.0000 7.3230 Nd
2.0630 0.0000 16.9648 Ni
0.0000 0.0000 13.3010 Ge
0.0000 0.0000 15.7893 Ge
2.0630 0.0000 2.3233 Ge
2.0630 0.0000 4.8265 Ge
2.0630 0.0000 9.9118 Ge
2.0630 0.0000 19.3078 Ge
```

Largest 8 diffraction maxima, in order of falling intensity, 5° ≤ 2θ ≤ 70°:
2θ = 33.25°, I 100.0
2θ = 32.75°, I 37.8
2θ = 43.89°, I 24.0
2θ = 44.46°, I 23.1
2θ = 37.19°, I 19.5
2θ = 43.32°, I 18.3
2θ = 56.31°, I 15.9
2θ = 64.25°, I 15.1


Repeat the tenth record exactly.
NdNiGe3: calculated powder diffractogram (λ = 1.5418 Å (Cu Kα)), based on a DFT-relaxed cell (PBE, the Materials Project).
Neutral-atom scattering factors, no anomalous dispersion.

```
NdNiGe3
1.0
2.0725 -10.9550 0.0000
2.0725 10.9550 0.0000
0.0000 0.0000 4.1700
Nd Ni Ge
2 2 6
Cartesian
2.0725 7.2634 0.0000 Nd
2.0725 -7.2634 0.0000 Nd
2.0725 2.3944 2.0850 Ni
2.0725 -2.3944 2.0850 Ni
2.0725 9.7139 2.0850 Ge
2.0725 4.7336 2.0850 Ge
2.0725 1.2424 0.0000 Ge
2.0725 -1.2424 0.0000 Ge
2.0725 -4.7336 2.0850 Ge
2.0725 -9.7139 2.0850 Ge
```

Largest 8 diffraction maxima, in order of falling intensity, 5° ≤ 2θ ≤ 70°:
2θ = 32.84°, I 100.0
2θ = 43.40°, I 25.5
2θ = 43.68°, I 25.0
2θ = 32.59°, I 24.3
2θ = 43.09°, I 21.4
2θ = 63.27°, I 16.2
2θ = 55.57°, I 15.3
2θ = 62.82°, I 13.6